For Li6Fe5CuO12, a DFT-relaxed cell (GGA+U, Alexandria) gives the calculated powder X-ray diffraction pattern in this record (λ = 1.5418 Å (Cu Kα)).
Peak positions follow from Bragg's law for the DFT cell and can differ from measured ones.

Most intense lines, 2θ = 10–80°, by intensity:
2theta  intensity  hkl
17.94  100.0  0 0 2
36.26  36.4  1 3 -1
47.41  33.5  1 3 3
43.49  30.3  2 0 2
37.79  26.6  1 3 1
64.17  18.8  0 6 0
67.23  13.2  3 3 -3
56.84  11.9  1 3 -5
62.22  11.7  2 0 -6
41.78  9.1  1 3 2
76.01  6.4  4 0 -2
56.80  6.0  2 0 4

Structure:
a = 5.0266 Å, b = 8.7090 Å, c = 10.0276 Å
α = 90.00°, β = 99.56°, γ = 90.00°
Space group C2/m (No. 12)
One atom of each set of equivalent atoms:
Li: 0.0866 0.0000 0.2547
Li: 0.0866 0.3356 0.2593
Fe: 0.0000 0.0000 0.0000
Fe: 0.0000 0.1665 0.5000
Fe: 0.0000 0.3333 0.0000
Cu: 0.0000 0.5000 0.5000
O: 0.1247 0.1624 0.8855
O: 0.1359 0.5000 0.8845
O: 0.1956 0.0000 0.6091
O: 0.2073 0.3288 0.6088